For La5Tm12Th2, a crystal structure in Alexandria, relaxed with GGA-PBE gives the theoretical powder XRD pattern in this record (Cu Kα X-rays).
Peak positions follow from Bragg's law for the DFT cell and can differ from measured ones.

Crystal structure
a = 6.172 Å, b = 9.475 Å, c = 11.228 Å
α = 89.86°, β = 79.34°, γ = 71.44°
Atoms (fractional coordinates):
La: 0.000 0.000 0.000
La: 0.204 0.526 0.578
La: 0.472 0.684 0.053
La: 0.528 0.316 0.947
La: 0.796 0.474 0.422
Tm: 0.050 0.632 0.896
Tm: 0.106 0.262 0.785
Tm: 0.160 0.897 0.682
Tm: 0.310 0.797 0.371
Tm: 0.368 0.416 0.262
Tm: 0.417 0.054 0.163
Tm: 0.583 0.946 0.837
Tm: 0.632 0.584 0.738
Tm: 0.690 0.203 0.629
Tm: 0.840 0.103 0.318
Tm: 0.894 0.738 0.215
Tm: 0.950 0.368 0.104
Th: 0.272 0.154 0.474
Th: 0.728 0.846 0.526

Top 6 peaks for 10 to 90 degrees two-theta, low angle first:
index, 2theta, d_spacing, Rel. int.
0 3 -1, 30.51, 2.930, 50.7
2 0 1, 30.68, 2.914, 100.0
1 1 -3, 30.87, 2.897, 49.4
-1 2 2, 35.39, 2.536, 34.2
2 3 0, 35.67, 2.517, 67.1
3 2 4, 51.33, 1.780, 35.9